Starting from DFT lattice parameters and positions (GGA-PBE), the powder diffractogram of Nd2DyO4 was computed for Cu Kα, 1.54184 Å.

Principal peaks in the range 10° ≤ 2θ ≤ 90°, sorted by position:
25.60 deg, d = 3.480 Å, I = 29, hkl 2 2 0
30.11 deg, d = 2.968 Å, I = 100, hkl 3 1 1
31.48 deg, d = 2.842 Å, I = 22, hkl 2 2 2
45.12 deg, d = 2.009 Å, I = 13, hkl 4 2 2
48.03 deg, d = 1.894 Å, I = 37, hkl 5 1 1
52.59 deg, d = 1.740 Å, I = 41, hkl 4 4 0
61.80 deg, d = 1.501 Å, I = 13, hkl 5 3 3
73.96 deg, d = 1.282 Å, I = 23, hkl 5 5 3

Structure:
Unit cell a=9.844 b=9.844 c=9.844 alpha=90.00 beta=90.00 gamma=90.00
Space group Fd-3m (No. 227, origin choice 2)
One atom of each set of equivalent atoms:
Nd: 0.000 0.000 0.000 (multiplicity 16)
Dy: 0.125 0.125 0.625 (multiplicity 8)
O: 0.002 0.002 0.248 (multiplicity 32)

Starting from DFT lattice parameters and positions (GGA-PBE), the powder diffractogram of CsKTcSeS2 was computed for Cu Kα, 1.54184 Å.

Principal peaks in the range 10° ≤ 2θ ≤ 90°, sorted by position:
11.13 deg, d = 7.947 Å, I = 28, hkl 0 0 1
15.30 deg, d = 5.793 Å, I = 24, hkl 1 0 1
22.37 deg, d = 3.974 Å, I = 37, hkl 0 0 2
25.12 deg, d = 3.545 Å, I = 88, hkl 2 1 1
26.85 deg, d = 3.320 Å, I = 100, hkl 0 2 1
29.52 deg, d = 3.026 Å, I = 28, hkl 1 -1 2
33.50 deg, d = 2.675 Å, I = 27, hkl 2 1 -1
41.37 deg, d = 2.183 Å, I = 28, hkl 0 3 -1

Structure:
```
data_CsKTcSeS2
_symmetry_space_group_name_H-M 'P -1'
_symmetry_Int_Tables_number 2
_symmetry_space_group_name_Hall '-P 1'
_cell_length_a 7.094
_cell_length_b 7.804
_cell_length_c 8.660
_cell_angle_alpha 75.73
_cell_angle_beta 67.19
_cell_angle_gamma 64.18
loop_
_atom_site_label
_atom_site_type_symbol
_atom_site_fract_x
_atom_site_fract_y
_atom_site_fract_z
Cs1 Cs 0.176 0.420 0.199
K1 K 0.410 0.819 0.361
Tc1 Tc 0.119 0.945 0.836
Se1 Se 0.325 0.627 0.756
S1 S 0.135 0.151 0.608
S2 S 0.238 0.012 0.014
```